Na5In2Sn5: calculated powder X-ray diffraction pattern (Cu Kα (λ = 1.5418 Å)), based on the GGA-PBE geometry in Alexandria.
No peak broadening, texture or thermal motion is included.

Structural model:
a = 6.1283 Å, b = 6.1283 Å, c = 12.9085 Å
α = 100.42°, β = 100.42°, γ = 51.02°
Fractional positions:
Na (0.0000, 0.0000, 0.0000)
Na (0.1534, 0.1534, 0.5113)
Na (0.2607, 0.2607, 0.8853)
Na (0.7393, 0.7393, 0.1147)
Na (0.8466, 0.8466, 0.4887)
In (0.3937, 0.3937, 0.6925)
In (0.6063, 0.6063, 0.3075)
Sn (0.2788, 0.2788, 0.3028)
Sn (0.4072, 0.4072, 0.1247)
Sn (0.5000, 0.5000, 0.5000)
Sn (0.5928, 0.5928, 0.8753)
Sn (0.7212, 0.7212, 0.6972)

Peak list (12 most intense, 10 to 90 degrees two-theta, low angle first)
18.70 deg, I = 100
23.67 deg, I = 37
24.01 deg, I = 26
33.83 deg, I = 55
33.96 deg, I = 43
35.35 deg, I = 63
35.49 deg, I = 28
37.90 deg, I = 20
41.82 deg, I = 17
41.97 deg, I = 28
49.94 deg, I = 21
61.68 deg, I = 16